Structure and computed powder XRD pattern of Ac3MgMo2N6 (a cell relaxed with GGA-PBE; Cu Kα (weighted mean of Kα1 and Kα2)).
No peak broadening, texture or thermal motion is included.

Cell: 5.935 5.935 6.958 Å, 90.00 90.00 120.00°
Atoms (fractional coordinates):
Ac (0.000, 0.000, 0.000)
Ac (0.333, 0.667, 0.670)
Ac (0.667, 0.333, 0.330)
Mg (0.000, 0.000, 0.500)
Mo (0.333, 0.667, 0.206)
Mo (0.667, 0.333, 0.794)
N (0.166, 0.332, 0.303)
N (0.166, 0.834, 0.303)
N (0.332, 0.166, 0.697)
N (0.668, 0.834, 0.303)
N (0.834, 0.166, 0.697)
N (0.834, 0.668, 0.697)

Most intense lines, 2θ from 10° to 90°, in order of rising 2θ:
- 21.49°, I = 56
- 30.11°, I = 100
- 31.04°, I = 88
- 37.30°, I = 22
- 43.79°, I = 43
- 49.90°, I = 16
- 53.48°, I = 21
- 54.07°, I = 38
- 55.79°, I = 16
- 71.52°, I = 17



Structure and computed powder XRD pattern of Ac3Mg2NpN6 (a cell relaxed with GGA-PBE; Cu Kα (weighted mean of Kα1 and Kα2)).
No peak broadening, texture or thermal motion is included.

Cell: 6.478 6.478 6.098 Å, 96.44 96.44 124.93°
Atoms (fractional coordinates):
Ac (0.000, 0.000, 0.000)
Ac (0.325, 0.675, 0.000)
Ac (0.675, 0.325, 0.000)
Mg (0.203, 0.797, 0.500)
Mg (0.797, 0.203, 0.500)
Np (0.500, 0.500, 0.500)
N (0.095, 0.404, 0.292)
N (0.332, 0.332, 0.753)
N (0.404, 0.095, 0.292)
N (0.596, 0.905, 0.708)
N (0.668, 0.668, 0.247)
N (0.905, 0.596, 0.708)

Most intense lines, 2θ from 10° to 90°, in order of rising 2θ:
- 14.98°, I = 44
- 17.10°, I = 22
- 27.90°, I = 22
- 29.94°, I = 96
- 30.21°, I = 49
- 30.78°, I = 58
- 33.59°, I = 100
- 37.78°, I = 37
- 51.07°, I = 30
- 51.80°, I = 30



Structure and computed powder XRD pattern of Ac2MgP2N6 (a cell relaxed with GGA-PBE; Cu Kα (weighted mean of Kα1 and Kα2)).
No peak broadening, texture or thermal motion is included.

Cell: 5.719 5.719 6.196 Å, 90.00 90.00 120.00°
Atoms (fractional coordinates):
Ac (0.333, 0.667, 0.271)
Ac (0.667, 0.333, 0.729)
Mg (0.000, 0.000, 0.000)
P (0.333, 0.667, 0.784)
P (0.667, 0.333, 0.216)
N (0.127, 0.353, 0.782)
N (0.226, 0.873, 0.782)
N (0.353, 0.226, 0.218)
N (0.647, 0.774, 0.782)
N (0.774, 0.127, 0.218)
N (0.873, 0.647, 0.218)

Most intense lines, 2θ from 10° to 90°, in order of rising 2θ:
- 17.91°, I = 48
- 22.99°, I = 100
- 28.82°, I = 31
- 31.28°, I = 65
- 34.14°, I = 35
- 39.17°, I = 43
- 43.05°, I = 41
- 46.97°, I = 17
- 50.96°, I = 29
- 57.52°, I = 15



Structure and computed powder XRD pattern of AcMg2RuN4 (a cell relaxed with GGA-PBE; Cu Kα (weighted mean of Kα1 and Kα2)).
No peak broadening, texture or thermal motion is included.

Cell: 7.359 5.930 5.635 Å, 90.00 90.00 90.00°
Atoms (fractional coordinates):
Ac (0.000, 0.165, 0.000)
Ac (0.500, 0.835, 0.500)
Mg (0.246, 0.335, 0.510)
Mg (0.254, 0.665, 0.010)
Mg (0.746, 0.665, 0.010)
Mg (0.754, 0.335, 0.510)
Ru (0.000, 0.804, 0.519)
Ru (0.500, 0.196, 0.019)
N (0.000, 0.133, 0.478)
N (0.000, 0.763, 0.854)
N (0.205, 0.662, 0.377)
N (0.295, 0.338, 0.877)
N (0.500, 0.237, 0.354)
N (0.500, 0.867, 0.978)
N (0.705, 0.338, 0.877)
N (0.795, 0.662, 0.377)

Most intense lines, 2θ from 10° to 90°, in order of rising 2θ:
- 21.76°, I = 88
- 24.19°, I = 45
- 28.55°, I = 31
- 31.76°, I = 44
- 32.76°, I = 100
- 34.17°, I = 37
- 40.32°, I = 25
- 42.31°, I = 25
- 52.56°, I = 24
- 57.21°, I = 27